Starting from the GGA-PBE geometry in Alexandria, the X-ray diffraction stick pattern of InHgSCl was calculated for a wavelength of 1.5418 Å.

The 6 most intense peaks (10 to 90 degrees two-theta), in order of rising 2θ:
(0 0 2), 2θ = 17.18°, intensity 100
(1 1 0), 2θ = 26.15°, intensity 80
(2 0 -1), 2θ = 26.27°, intensity 47
(1 1 -1), 2θ = 26.72°, intensity 52
(1 1 -2), 2θ = 29.95°, intensity 74
(0 2 0), 2θ = 45.92°, intensity 57

Cell and atoms:
abc: 6.8432 3.9559 10.5262
angles: 90.00 101.27 90.00
Space group Cm (No. 8)
Symmetry-distinct sites (fractional):
In: 0.0000 0.0000 0.0000
Hg: 0.2046 0.0000 0.5705
S: 0.1346 0.5000 0.8934
Cl: 0.0716 0.0000 0.2259

Starting from the GGA-PBE geometry in Alexandria, the X-ray diffraction stick pattern of ZrPa4O10 was calculated for a wavelength of 1.5418 Å.

The 6 most intense peaks (10 to 90 degrees two-theta), in order of rising 2θ:
(0 1 5), 2θ = 28.55°, intensity 100
(0 0 15), 2θ = 28.82°, intensity 32
(1 0 10), 2θ = 33.16°, intensity 47
(1 1 0), 2θ = 47.42°, intensity 34
(0 1 20), 2θ = 47.78°, intensity 32
(1 1 15), 2θ = 56.45°, intensity 30

Cell and atoms:
abc: 3.8342 3.8342 46.4614
angles: 90.00 90.00 120.00
Space group R-3m (No. 166, hexagonal axes)
Symmetry-distinct sites (fractional):
Zr: 0.0000 0.0000 0.0000
Pa: 0.0000 0.0000 0.2007
Pa: 0.0000 0.0000 0.3979
O: 0.0000 0.0000 0.0470
O: 0.0000 0.0000 0.1498
O: 0.0000 0.0000 0.2526
O: 0.0000 0.0000 0.3480
O: 0.0000 0.0000 0.4487

Starting from the GGA-PBE geometry in Alexandria, the X-ray diffraction stick pattern of CaLaGa3S7 was calculated for a wavelength of 1.5418 Å.

The 6 most intense peaks (10 to 90 degrees two-theta), in order of rising 2θ:
(1 1 -1), 2θ = 19.11°, intensity 34
(1 1 -2), 2θ = 24.82°, intensity 53
(1 2 -1), 2θ = 24.99°, intensity 44
(1 2 1), 2θ = 25.19°, intensity 100
(2 1 -3), 2θ = 40.86°, intensity 33
(2 3 -1), 2θ = 41.24°, intensity 29

Cell and atoms:
abc: 6.2635 9.6240 9.6932
angles: 90.00 91.02 90.00
Space group P2_1 (No. 4)
Symmetry-distinct sites (fractional):
Ca: 0.0402 0.0000 0.0794
La: 0.9995 0.2981 0.3981
Ga: 0.4543 0.4972 0.6005
Ga: 0.4639 0.7923 0.8992
Ga: 0.4924 0.6471 0.2577
S: 0.1816 0.2912 0.1108
S: 0.1902 0.0035 0.3924
S: 0.2473 0.5737 0.4141
S: 0.2713 0.2962 0.6432
S: 0.2730 0.9820 0.8165
S: 0.2761 0.7430 0.0946
S: 0.2916 0.6237 0.7698